(1)
Structure and computed powder XRD pattern of TlHF5 (a cell relaxed with GGA-PBE; λ = 1.5418 Å (Cu Kα)).
Peak positions follow from Bragg's law for the DFT cell and can differ from measured ones.

Most intense lines, 2θ = 15–90°, sorted by position:
| 2θ/deg | intensity | (hkl) |
| --- | --- | --- |
| 17.40 | 100.0 | 0 1 -1 |
| 17.64 | 96.0 | 1 0 -1 |
| 19.22 | 87.3 | 1 -1 0 |
| 24.70 | 49.3 | 1 0 1 |
| 25.07 | 82.1 | 0 1 1 |
| 29.52 | 45.5 | 1 1 -2 |
| 35.73 | 41.3 | 2 0 -2 |
| 51.43 | 28.2 | 3 1 -2 |

Structure:
```
data_TlHF5
_cell_length_a 6.0547
_cell_length_b 6.0569
_cell_length_c 6.7128
_cell_angle_alpha 106.79
_cell_angle_beta 104.89
_cell_angle_gamma 99.39
_symmetry_space_group_name_H-M 'P -1'
_symmetry_Int_Tables_number 2
loop_
_symmetry_equiv_pos_as_xyz
'x,y,z'
'-x,-y,-z'
loop_
_atom_site_label
_atom_site_type_symbol
_atom_site_fract_x
_atom_site_fract_y
_atom_site_fract_z
_atom_site_occupancy
Tl1 Tl 0.0000 0.0000 0.0000 1
Tl2 Tl 0.5000 0.5000 0.5000 1
H1 H 0.2193 0.2773 0.7483 1
F1 F 0.0752 0.1214 0.7414 1
F2 F 0.1491 0.3622 0.2481 1
F3 F 0.3464 0.9165 0.1047 1
F4 F 0.3545 0.4354 0.7541 1
F5 F 0.4344 0.8570 0.6138 1
```

=====

(2)
Structure and computed powder XRD pattern of Sm6DyHo (a cell relaxed with GGA-PBE; λ = 1.5418 Å (Cu Kα)).
Peak positions follow from Bragg's law for the DFT cell and can differ from measured ones.

Most intense lines, 2θ = 15–90°, sorted by position:
| 2θ/deg | intensity | (hkl) |
| --- | --- | --- |
| 30.38 | 100.0 | 2 2 0 |
| 35.18 | 33.9 | 2 0 4 |
| 35.29 | 16.8 | 0 4 0 |
| 50.69 | 30.1 | 2 4 4 |
| 60.11 | 14.4 | 4 2 4 |
| 60.25 | 21.5 | 2 6 0 |
| 82.51 | 8.8 | 4 6 4 |
| 85.11 | 8.3 | 4 4 8 |

Structure:
```
data_Sm6DyHo
_cell_length_a 7.2271
_cell_length_b 10.1719
_cell_length_c 14.4079
_cell_angle_alpha 90.00
_cell_angle_beta 90.00
_cell_angle_gamma 90.00
_symmetry_space_group_name_H-M 'F m m m'
_symmetry_Int_Tables_number 69
_symmetry_space_group_name_Hall '-F 2 2'
loop_
_atom_site_label
_atom_site_type_symbol
_atom_site_fract_x
_atom_site_fract_y
_atom_site_fract_z
_atom_site_occupancy
Sm1 Sm 0.0000 0.0000 0.2500 1
Sm2 Sm 0.2500 0.2500 0.1241 1
Dy1 Dy 0.0000 0.0000 0.0000 1
Ho1 Ho 0.0000 0.0000 0.5000 1
```

=====

(3)
Structure and computed powder XRD pattern of Ca2Al2SiO7 (a cell relaxed with GGA-PBE; λ = 1.5418 Å (Cu Kα)).
Peak positions follow from Bragg's law for the DFT cell and can differ from measured ones.

Most intense lines, 2θ = 15–90°, sorted by position:
| 2θ/deg | intensity | (hkl) |
| --- | --- | --- |
| 23.69 | 21.9 | 1 1 -1 |
| 28.93 | 19.9 | 1 2 0 |
| 30.96 | 49.7 | 1 1 -2 |
| 31.09 | 43.5 | 1 2 -1 |
| 31.29 | 100.0 | 1 2 1 |
| 36.61 | 32.5 | 0 3 1 |
| 49.84 | 20.7 | 0 3 3 |
| 51.80 | 20.4 | 2 3 1 |

Structure:
```
data_Ca2Al2SiO7
_cell_length_a 5.1056
_cell_length_b 7.7509
_cell_length_c 7.7733
_cell_angle_alpha 90.00
_cell_angle_beta 90.77
_cell_angle_gamma 90.00
_symmetry_space_group_name_H-M 'P 1 21 1'
_symmetry_Int_Tables_number 4
loop_
_symmetry_equiv_pos_as_xyz
'x,y,z'
'-x,y+1/2,-z'
loop_
_atom_site_label
_atom_site_type_symbol
_atom_site_fract_x
_atom_site_fract_y
_atom_site_fract_z
_atom_site_occupancy
Ca1 Ca 0.0054 0.0000 0.3974 1
Ca2 Ca 0.0217 0.3215 0.0724 1
Al1 Al 0.4630 0.5261 0.8935 1
Al2 Al 0.4986 0.6671 0.2554 1
Si1 Si 0.4490 0.8124 0.6065 1
O1 O 0.1978 0.0249 0.1109 1
O2 O 0.2351 0.3107 0.3967 1
O3 O 0.3015 0.7519 0.4239 1
O4 O 0.3025 0.3345 0.8229 1
O5 O 0.3081 0.5756 0.0895 1
O6 O 0.3116 0.0015 0.6445 1
O7 O 0.3205 0.6832 0.7520 1
```

=====

(4)
Structure and computed powder XRD pattern of USe2O9 (a cell relaxed with GGA-PBE; λ = 1.5418 Å (Cu Kα)).
Peak positions follow from Bragg's law for the DFT cell and can differ from measured ones.

Most intense lines, 2θ = 15–90°, sorted by position:
| 2θ/deg | intensity | (hkl) |
| --- | --- | --- |
| 16.98 | 100.0 | 1 1 -1 |
| 19.83 | 19.9 | 0 2 1 |
| 20.78 | 44.9 | 2 2 0 |
| 21.61 | 27.7 | 1 3 0 |
| 24.82 | 22.2 | 3 1 0 |
| 26.80 | 47.7 | 1 3 1 |
| 30.66 | 25.6 | 3 1 1 |
| 31.50 | 16.7 | 2 0 -2 |

Structure:
```
data_USe2O9
_cell_length_a 11.2919
_cell_length_b 13.2688
_cell_length_c 6.1297
_cell_angle_alpha 90.00
_cell_angle_beta 98.11
_cell_angle_gamma 90.00
_symmetry_space_group_name_H-M 'C 1 2/c 1'
_symmetry_Int_Tables_number 15
loop_
_symmetry_equiv_pos_as_xyz
'x,y,z'
'-x,-y,-z'
'-x,y,-z+1/2'
'x,-y,z+1/2'
'x+1/2,y+1/2,z'
'-x+1/2,-y+1/2,-z'
'-x+1/2,y+1/2,-z+1/2'
'x+1/2,-y+1/2,z+1/2'
loop_
_atom_site_label
_atom_site_type_symbol
_atom_site_fract_x
_atom_site_fract_y
_atom_site_fract_z
_atom_site_occupancy
U1 U 0.0000 0.1911 0.2500 1
Se1 Se 0.1990 0.4270 0.5053 1
O1 O 0.0000 0.0202 0.2500 1
O2 O 0.0983 0.3371 0.4404 1
O3 O 0.0999 0.1947 0.0466 1
O4 O 0.1631 0.1189 0.5011 1
O5 O 0.1742 0.4728 0.8251 1
```